Entry 1:
Diffraction record for NaLi2PO4. The powder diffractogram is theoretical, not measured: it uses a PBE-relaxed structure and Cu Kα (weighted mean of Kα1 and Kα2).
Lines closer than 0.1° are merged.

Main lines, in order of rising 2θ (2θ = 10–90°):
hkl 2 1 0, 2θ 21.73, intensity 39; hkl 0 1 1, 2θ 21.93, intensity 39; hkl 2 0 1, 2θ 25.05, intensity 100; hkl 0 2 0, 2θ 25.65, intensity 64; hkl 2 2 0, 2θ 31.23, intensity 42; hkl 1 2 1, 2θ 32.63, intensity 25; hkl 4 0 0, 2θ 35.47, intensity 62; hkl 0 0 2, 2θ 35.98, intensity 64; hkl 0 4 0, 2θ 52.71, intensity 21; hkl 6 2 0, 2θ 61.06, intensity 18

Structural model:
```
data_NaLi2PO4
_space_group_name_H-M_alt 'P 1'
_space_group_IT_number 1
_cell_length_a 10.123
_cell_length_b 6.946
_cell_length_c 4.992
_cell_angle_alpha 90.00
_cell_angle_beta 90.00
_cell_angle_gamma 90.00
loop_
_space_group_symop_operation_xyz
'x,y,z'
loop_
_atom_site_label
_atom_site_type_symbol
_atom_site_fract_x
_atom_site_fract_y
_atom_site_fract_z
Na1 Na 0.113 0.250 0.236
Na2 Na 0.387 0.750 0.736
Na3 Na 0.613 0.250 0.264
Na4 Na 0.887 0.750 0.764
Li1 Li 0.155 0.001 0.709
Li2 Li 0.155 0.499 0.709
Li3 Li 0.345 0.501 0.209
Li4 Li 0.345 0.999 0.209
Li5 Li 0.655 0.001 0.791
Li6 Li 0.655 0.499 0.791
Li7 Li 0.845 0.501 0.291
Li8 Li 0.845 0.999 0.291
P1 P 0.098 0.750 0.202
P2 P 0.402 0.250 0.702
P3 P 0.598 0.750 0.298
P4 P 0.902 0.250 0.798
O1 O 0.054 0.250 0.742
O2 O 0.119 0.750 0.892
O3 O 0.162 0.566 0.324
O4 O 0.162 0.934 0.324
O5 O 0.338 0.066 0.824
O6 O 0.338 0.434 0.824
O7 O 0.381 0.250 0.392
O8 O 0.446 0.750 0.242
O9 O 0.554 0.250 0.758
O10 O 0.619 0.750 0.608
O11 O 0.662 0.566 0.176
O12 O 0.662 0.934 0.176
O13 O 0.838 0.066 0.676
O14 O 0.838 0.434 0.676
O15 O 0.881 0.250 0.108
O16 O 0.946 0.750 0.258
```


Entry 2:
Diffraction record for K2Nb3Br9. The powder diffractogram is theoretical, not measured: it uses a PBE-relaxed structure and Cu Kα (weighted mean of Kα1 and Kα2).
Lines closer than 0.1° are merged.

Main lines, in order of rising 2θ (2θ = 10–90°):
hkl 0 1 0, 2θ 10.29, intensity 100; hkl 1 -1 0, 2θ 11.14, intensity 68; hkl 3 0 0, 2θ 28.55, intensity 39; hkl -3 1 2, 2θ 30.63, intensity 40; hkl 1 3 -1, 2θ 31.17, intensity 63; hkl 2 -2 3, 2θ 35.06, intensity 56; hkl 1 4 -2, 2θ 38.67, intensity 31; hkl -4 2 2, 2θ 40.66, intensity 38; hkl 2 -2 4, 2θ 44.03, intensity 24; hkl 2 0 -5, 2θ 49.34, intensity 33

Structural model:
```
data_K2Nb3Br9
_space_group_name_H-M_alt 'P 1'
_space_group_IT_number 1
_cell_length_a 10.318
_cell_length_b 10.420
_cell_length_c 10.420
_cell_angle_alpha 117.60
_cell_angle_beta 102.46
_cell_angle_gamma 102.46
loop_
_space_group_symop_operation_xyz
'x,y,z'
loop_
_atom_site_label
_atom_site_type_symbol
_atom_site_fract_x
_atom_site_fract_y
_atom_site_fract_z
K1 K 0.000 0.000 0.000
K2 K 0.001 0.328 0.684
K3 K 0.657 0.219 0.223
K4 K 0.662 0.543 0.897
Nb1 Nb 0.194 0.556 0.403
Nb2 Nb 0.198 0.727 0.244
Nb3 Nb 0.203 0.882 0.564
Nb4 Nb 0.450 0.661 0.336
Nb5 Nb 0.458 0.984 0.492
Nb6 Nb 0.463 0.821 0.669
Br1 Br 0.000 0.454 0.138
Br2 Br 0.005 0.662 0.947
Br3 Br 0.013 0.273 0.344
Br4 Br 0.015 0.649 0.537
Br5 Br 0.016 0.862 0.333
Br6 Br 0.045 0.047 0.721
Br7 Br 0.319 0.376 0.257
Br8 Br 0.320 0.584 0.054
Br9 Br 0.324 0.566 0.656
Br10 Br 0.330 0.978 0.242
Br11 Br 0.337 0.171 0.647
Br12 Br 0.343 0.968 0.858
Br13 Br 0.619 0.500 0.179
Br14 Br 0.638 0.888 0.362
Br15 Br 0.643 0.693 0.573
Br16 Br 0.652 0.278 0.564
Br17 Br 0.653 0.884 0.957
Br18 Br 0.655 0.092 0.766
```


Entry 3:
Diffraction record for Li2BiBO4. The powder diffractogram is theoretical, not measured: it uses a PBE-relaxed structure and Cu Kα (weighted mean of Kα1 and Kα2).
Lines closer than 0.1° are merged.

Main lines, in order of rising 2θ (2θ = 10–90°):
hkl 2 1 0, 2θ 21.54, intensity 95; hkl 0 1 1, 2θ 22.54, intensity 95; hkl 2 0 1, 2θ 25.26, intensity 100; hkl 0 2 0, 2θ 26.01, intensity 53; hkl 2 2 1, 2θ 36.57, intensity 60; hkl 0 0 2, 2θ 37.25, intensity 41; hkl 4 1 1, 2θ 41.80, intensity 38; hkl 2 1 2, 2θ 43.46, intensity 43; hkl 0 3 1, 2θ 43.87, intensity 43; hkl 2 3 2, 2θ 58.46, intensity 36

Structural model:
```
data_Li2BiBO4
_space_group_name_H-M_alt 'P 1'
_space_group_IT_number 1
_cell_length_a 10.334
_cell_length_b 6.852
_cell_length_c 4.824
_cell_angle_alpha 90.00
_cell_angle_beta 90.00
_cell_angle_gamma 90.00
loop_
_space_group_symop_operation_xyz
'x,y,z'
loop_
_atom_site_label
_atom_site_type_symbol
_atom_site_fract_x
_atom_site_fract_y
_atom_site_fract_z
Li1 Li 0.160 0.005 0.215
Li2 Li 0.160 0.495 0.215
Li3 Li 0.340 0.505 0.715
Li4 Li 0.340 0.995 0.715
Li5 Li 0.660 0.005 0.285
Li6 Li 0.660 0.495 0.285
Li7 Li 0.840 0.505 0.785
Li8 Li 0.840 0.995 0.785
Bi1 Bi 0.102 0.750 0.733
Bi2 Bi 0.398 0.250 0.233
Bi3 Bi 0.602 0.750 0.767
Bi4 Bi 0.898 0.250 0.267
B1 B 0.098 0.250 0.726
B2 B 0.402 0.750 0.226
B3 B 0.598 0.250 0.774
B4 B 0.902 0.750 0.274
O1 O 0.048 0.750 0.195
O2 O 0.100 0.250 0.403
O3 O 0.163 0.074 0.826
O4 O 0.163 0.426 0.826
O5 O 0.337 0.574 0.326
O6 O 0.337 0.926 0.326
O7 O 0.400 0.750 0.903
O8 O 0.452 0.250 0.695
O9 O 0.548 0.750 0.305
O10 O 0.600 0.250 0.097
O11 O 0.663 0.074 0.674
O12 O 0.663 0.426 0.674
O13 O 0.837 0.574 0.174
O14 O 0.837 0.926 0.174
O15 O 0.900 0.750 0.597
O16 O 0.952 0.250 0.805
```


Please write out number 1 again, unchanged.
Diffraction record for NaLi2PO4. The powder diffractogram is theoretical, not measured: it uses a PBE-relaxed structure and Cu Kα (weighted mean of Kα1 and Kα2).
Lines closer than 0.1° are merged.

Main lines, in order of rising 2θ (2θ = 10–90°):
hkl 2 1 0, 2θ 21.73, intensity 39; hkl 0 1 1, 2θ 21.93, intensity 39; hkl 2 0 1, 2θ 25.05, intensity 100; hkl 0 2 0, 2θ 25.65, intensity 64; hkl 2 2 0, 2θ 31.23, intensity 42; hkl 1 2 1, 2θ 32.63, intensity 25; hkl 4 0 0, 2θ 35.47, intensity 62; hkl 0 0 2, 2θ 35.98, intensity 64; hkl 0 4 0, 2θ 52.71, intensity 21; hkl 6 2 0, 2θ 61.06, intensity 18

Structural model:
```
data_NaLi2PO4
_space_group_name_H-M_alt 'P 1'
_space_group_IT_number 1
_cell_length_a 10.123
_cell_length_b 6.946
_cell_length_c 4.992
_cell_angle_alpha 90.00
_cell_angle_beta 90.00
_cell_angle_gamma 90.00
loop_
_space_group_symop_operation_xyz
'x,y,z'
loop_
_atom_site_label
_atom_site_type_symbol
_atom_site_fract_x
_atom_site_fract_y
_atom_site_fract_z
Na1 Na 0.113 0.250 0.236
Na2 Na 0.387 0.750 0.736
Na3 Na 0.613 0.250 0.264
Na4 Na 0.887 0.750 0.764
Li1 Li 0.155 0.001 0.709
Li2 Li 0.155 0.499 0.709
Li3 Li 0.345 0.501 0.209
Li4 Li 0.345 0.999 0.209
Li5 Li 0.655 0.001 0.791
Li6 Li 0.655 0.499 0.791
Li7 Li 0.845 0.501 0.291
Li8 Li 0.845 0.999 0.291
P1 P 0.098 0.750 0.202
P2 P 0.402 0.250 0.702
P3 P 0.598 0.750 0.298
P4 P 0.902 0.250 0.798
O1 O 0.054 0.250 0.742
O2 O 0.119 0.750 0.892
O3 O 0.162 0.566 0.324
O4 O 0.162 0.934 0.324
O5 O 0.338 0.066 0.824
O6 O 0.338 0.434 0.824
O7 O 0.381 0.250 0.392
O8 O 0.446 0.750 0.242
O9 O 0.554 0.250 0.758
O10 O 0.619 0.750 0.608
O11 O 0.662 0.566 0.176
O12 O 0.662 0.934 0.176
O13 O 0.838 0.066 0.676
O14 O 0.838 0.434 0.676
O15 O 0.881 0.250 0.108
O16 O 0.946 0.750 0.258
```